1.
Structure and computed powder XRD pattern of BaPd2 (a cell relaxed with PBE; Cu Kα, 1.54184 Å).
Peak positions follow from Bragg's law for the DFT cell and can differ from measured ones.

Structure:
Lattice parameters (Å, degrees): 5.750 5.750 5.750 60.00 60.00 60.00
Positions (direct):
Ba (0.125, 0.125, 0.125)
Ba (0.875, 0.875, 0.875)
Pd (0.000, 0.500, 0.500)
Pd (0.500, 0.000, 0.500)
Pd (0.500, 0.500, 0.000)
Pd (0.500, 0.500, 0.500)

Top 6 peaks for 2θ from 10° to 80°, low angle first:
| Position (°2θ) | I/Imax |
| --- | --- |
| 31.11 | 33 |
| 36.65 | 100 |
| 38.34 | 34 |
| 55.34 | 13 |
| 59.02 | 33 |
| 64.86 | 28 |


2.
Structure and computed powder XRD pattern of Mg3Al2Cu4 (a cell relaxed with PBE; Cu Kα, 1.54184 Å).
Peak positions follow from Bragg's law for the DFT cell and can differ from measured ones.

Structure:
Lattice parameters (Å, degrees): 5.016 5.057 12.496 89.36 88.84 60.76
Positions (direct):
Mg (0.001, 0.001, 0.373)
Mg (0.331, 0.336, 0.290)
Mg (0.334, 0.334, 0.042)
Mg (0.666, 0.666, 0.958)
Mg (0.669, 0.664, 0.710)
Mg (0.999, 0.999, 0.627)
Al (0.167, 0.167, 0.833)
Al (0.500, 0.000, 0.500)
Al (0.500, 0.500, 0.500)
Al (0.833, 0.833, 0.167)
Cu (0.000, 0.000, 0.000)
Cu (0.000, 0.500, 0.500)
Cu (0.166, 0.667, 0.833)
Cu (0.334, 0.833, 0.167)
Cu (0.335, 0.332, 0.667)
Cu (0.665, 0.668, 0.333)
Cu (0.666, 0.167, 0.833)
Cu (0.834, 0.333, 0.167)

Top 6 peaks for 2θ from 10° to 80°, low angle first:
| Position (°2θ) | I/Imax |
| --- | --- |
| 21.36 | 62 |
| 21.78 | 100 |
| 41.57 | 54 |
| 41.72 | 67 |
| 43.47 | 93 |
| 43.60 | 46 |


3.
Structure and computed powder XRD pattern of KC2 (a cell relaxed with PBE; Cu Kα, 1.54184 Å).
Peak positions follow from Bragg's law for the DFT cell and can differ from measured ones.

Structure:
Lattice parameters (Å, degrees): 4.657 4.657 4.657 120.49 111.10 97.62
Positions (direct):
K (0.000, 0.000, 0.000)
C (0.380, 0.500, 0.880)
C (0.620, 0.500, 0.120)

Top 6 peaks for 2θ from 10° to 80°, low angle first:
| Position (°2θ) | I/Imax |
| --- | --- |
| 22.24 | 23 |
| 25.64 | 100 |
| 29.12 | 42 |
| 39.18 | 54 |
| 42.14 | 22 |
| 45.36 | 17 |


4.
Structure and computed powder XRD pattern of Mg2NF (a cell relaxed with PBE; Cu Kα, 1.54184 Å).
Peak positions follow from Bragg's law for the DFT cell and can differ from measured ones.

Structure:
Lattice parameters (Å, degrees): 5.900 5.900 5.900 138.09 138.09 60.76
Positions (direct):
Mg (0.087, 0.337, 0.750)
Mg (0.337, 0.087, 0.250)
Mg (0.663, 0.913, 0.750)
Mg (0.913, 0.663, 0.250)
N (0.125, 0.875, 0.250)
N (0.875, 0.125, 0.750)
F (0.375, 0.625, 0.750)
F (0.625, 0.375, 0.250)

Top 6 peaks for 2θ from 10° to 80°, low angle first:
| Position (°2θ) | I/Imax |
| --- | --- |
| 33.90 | 46 |
| 35.27 | 51 |
| 42.86 | 100 |
| 55.73 | 21 |
| 56.66 | 41 |
| 62.22 | 28 |


5.
Structure and computed powder XRD pattern of ZnRe2O12 (a cell relaxed with PBE; Cu Kα, 1.54184 Å).
Peak positions follow from Bragg's law for the DFT cell and can differ from measured ones.

Structure:
Lattice parameters (Å, degrees): 6.040 7.149 7.264 65.11 85.62 66.67
Positions (direct):
Zn (0.000, 0.000, 0.000)
Re (0.420, 0.367, 0.330)
Re (0.580, 0.633, 0.670)
O (0.042, 0.052, 0.716)
O (0.135, 0.233, 0.893)
O (0.266, 0.736, 0.688)
O (0.278, 0.656, 0.142)
O (0.303, 0.205, 0.281)
O (0.368, 0.345, 0.577)
O (0.632, 0.655, 0.423)
O (0.697, 0.795, 0.719)
O (0.722, 0.344, 0.858)
O (0.734, 0.264, 0.312)
O (0.865, 0.767, 0.107)
O (0.958, 0.948, 0.284)

Top 6 peaks for 2θ from 10° to 80°, low angle first:
| Position (°2θ) | I/Imax |
| --- | --- |
| 16.08 | 55 |
| 18.62 | 100 |
| 19.89 | 100 |
| 24.15 | 70 |
| 24.82 | 77 |
| 26.11 | 76 |


6.
Structure and computed powder XRD pattern of InOsO3 (a cell relaxed with PBE; Cu Kα, 1.54184 Å).
Peak positions follow from Bragg's law for the DFT cell and can differ from measured ones.

Structure:
Lattice parameters (Å, degrees): 3.973 3.973 3.973 90.00 90.00 90.00
Positions (direct):
In (0.000, 0.000, 0.000)
Os (0.500, 0.500, 0.500)
O (0.000, 0.500, 0.500)
O (0.500, 0.000, 0.500)
O (0.500, 0.500, 0.000)

Top 6 peaks for 2θ from 10° to 80°, low angle first:
| Position (°2θ) | I/Imax |
| --- | --- |
| 22.38 | 11 |
| 31.85 | 100 |
| 45.67 | 27 |
| 56.75 | 40 |
| 66.57 | 17 |
| 75.70 | 17 |


7.
Structure and computed powder XRD pattern of LiLaBi2 (a cell relaxed with PBE; Cu Kα, 1.54184 Å).
Peak positions follow from Bragg's law for the DFT cell and can differ from measured ones.

Structure:
Lattice parameters (Å, degrees): 4.558 4.558 11.082 90.00 90.00 90.00
Positions (direct):
Li (0.250, 0.750, 0.000)
Li (0.750, 0.250, 0.000)
La (0.250, 0.250, 0.259)
La (0.750, 0.750, 0.741)
Bi (0.250, 0.250, 0.838)
Bi (0.250, 0.750, 0.500)
Bi (0.750, 0.250, 0.500)
Bi (0.750, 0.750, 0.162)

Top 6 peaks for 2θ from 10° to 80°, low angle first:
| Position (°2θ) | I/Imax |
| --- | --- |
| 24.09 | 38 |
| 25.30 | 37 |
| 28.85 | 61 |
| 32.13 | 100 |
| 39.54 | 46 |
| 46.84 | 27 |


8.
Structure and computed powder XRD pattern of Gd3GeO8 (a cell relaxed with PBE; Cu Kα, 1.54184 Å).
Peak positions follow from Bragg's law for the DFT cell and can differ from measured ones.

Structure:
Lattice parameters (Å, degrees): 5.457 10.483 6.145 90.00 105.13 90.00
Positions (direct):
Gd (0.185, 0.048, 0.296)
Gd (0.185, 0.452, 0.296)
Gd (0.287, 0.250, 0.823)
Gd (0.713, 0.750, 0.177)
Gd (0.815, 0.548, 0.704)
Gd (0.815, 0.952, 0.704)
Ge (0.306, 0.750, 0.505)
Ge (0.694, 0.250, 0.495)
O (0.039, 0.633, 0.456)
O (0.039, 0.867, 0.456)
O (0.097, 0.250, 0.125)
O (0.198, 0.021, 0.932)
O (0.198, 0.479, 0.932)
O (0.477, 0.750, 0.800)
O (0.485, 0.626, 0.385)
O (0.485, 0.874, 0.385)
O (0.515, 0.126, 0.615)
O (0.515, 0.374, 0.615)
O (0.523, 0.250, 0.200)
O (0.802, 0.521, 0.068)
O (0.802, 0.979, 0.068)
O (0.903, 0.750, 0.875)
O (0.961, 0.133, 0.544)
O (0.961, 0.367, 0.544)

Top 6 peaks for 2θ from 10° to 80°, low angle first:
| Position (°2θ) | I/Imax |
| --- | --- |
| 18.85 | 58 |
| 25.85 | 93 |
| 29.67 | 68 |
| 30.48 | 40 |
| 30.66 | 100 |
| 32.23 | 39 |


9.
Structure and computed powder XRD pattern of Nd3GdAl4O12 (a cell relaxed with PBE; Cu Kα, 1.54184 Å).
Peak positions follow from Bragg's law for the DFT cell and can differ from measured ones.

Structure:
Lattice parameters (Å, degrees): 5.324 7.549 5.362 90.00 90.09 90.00
Positions (direct):
Nd (0.000, 0.000, 0.000)
Nd (0.024, 0.500, 0.012)
Nd (0.524, 0.500, 0.500)
Gd (0.498, 0.000, 0.513)
Al (0.012, 0.249, 0.505)
Al (0.012, 0.751, 0.505)
Al (0.512, 0.249, 0.006)
Al (0.512, 0.751, 0.006)
O (0.009, 0.500, 0.571)
O (0.016, 0.000, 0.440)
O (0.252, 0.213, 0.765)
O (0.252, 0.787, 0.765)
O (0.274, 0.284, 0.266)
O (0.274, 0.716, 0.266)
O (0.510, 0.500, 0.941)
O (0.514, 0.000, 0.079)
O (0.747, 0.212, 0.742)
O (0.747, 0.788, 0.742)
O (0.775, 0.285, 0.243)
O (0.775, 0.715, 0.243)

Top 6 peaks for 2θ from 10° to 80°, low angle first:
| Position (°2θ) | I/Imax |
| --- | --- |
| 23.56 | 79 |
| 33.56 | 100 |
| 41.31 | 28 |
| 41.51 | 29 |
| 48.19 | 48 |
| 60.13 | 29 |


10.
Structure and computed powder XRD pattern of YCCl (a cell relaxed with PBE; Cu Kα, 1.54184 Å).
Peak positions follow from Bragg's law for the DFT cell and can differ from measured ones.

Structure:
Lattice parameters (Å, degrees): 3.929 3.929 9.622 95.00 95.00 57.44
Positions (direct):
Y (0.144, 0.144, 0.155)
Y (0.856, 0.856, 0.845)
C (0.427, 0.427, 0.040)
C (0.573, 0.573, 0.960)
Cl (0.177, 0.177, 0.668)
Cl (0.823, 0.823, 0.332)

Top 6 peaks for 2θ from 10° to 80°, low angle first:
| Position (°2θ) | I/Imax |
| --- | --- |
| 26.96 | 33 |
| 30.52 | 51 |
| 33.66 | 100 |
| 45.71 | 31 |
| 46.44 | 26 |
| 48.23 | 24 |


11.
Structure and computed powder XRD pattern of SrH9ClO5 (a cell relaxed with PBE; Cu Kα, 1.54184 Å).
Peak positions follow from Bragg's law for the DFT cell and can differ from measured ones.

Structure:
Lattice parameters (Å, degrees): 5.964 7.459 7.754 89.65 72.17 87.78
Positions (direct):
Sr (0.176, 0.458, 0.215)
Sr (0.824, 0.542, 0.785)
H (0.097, 0.788, 0.960)
H (0.119, 0.187, 0.705)
H (0.137, 0.788, 0.472)
H (0.296, 0.670, 0.820)
H (0.307, 0.304, 0.555)
H (0.314, 0.678, 0.552)
H (0.364, 0.312, 0.819)
H (0.454, 0.795, 0.102)
H (0.459, 0.177, 0.328)
H (0.541, 0.823, 0.672)
H (0.546, 0.205, 0.898)
H (0.636, 0.688, 0.181)
H (0.686, 0.322, 0.448)
H (0.693, 0.696, 0.445)
H (0.704, 0.330, 0.180)
H (0.863, 0.212, 0.528)
H (0.881, 0.813, 0.295)
H (0.903, 0.212, 0.040)
Cl (0.156, 0.006, 0.218)
Cl (0.844, 0.994, 0.782)
O (0.144, 0.662, 0.927)
O (0.173, 0.666, 0.504)
O (0.198, 0.303, 0.687)
O (0.461, 0.323, 0.905)
O (0.477, 0.303, 0.353)
O (0.523, 0.697, 0.647)
O (0.539, 0.677, 0.095)
O (0.802, 0.697, 0.313)
O (0.827, 0.334, 0.496)
O (0.856, 0.338, 0.073)

Top 6 peaks for 2θ from 10° to 80°, low angle first:
| Position (°2θ) | I/Imax |
| --- | --- |
| 11.87 | 100 |
| 16.54 | 34 |
| 22.50 | 25 |
| 29.63 | 26 |
| 34.08 | 31 |
| 40.50 | 26 |


12.
Structure and computed powder XRD pattern of CaY2Te4 (a cell relaxed with PBE; Cu Kα, 1.54184 Å).
Peak positions follow from Bragg's law for the DFT cell and can differ from measured ones.

Structure:
Lattice parameters (Å, degrees): 7.544 4.422 7.762 90.00 107.85 90.00
Positions (direct):
Ca (0.000, 0.000, 0.000)
Y (0.000, 0.500, 0.500)
Y (0.500, 0.000, 0.500)
Te (0.246, 0.000, 0.738)
Te (0.260, 0.500, 0.255)
Te (0.740, 0.500, 0.745)
Te (0.754, 0.000, 0.262)

Top 6 peaks for 2θ from 10° to 80°, low angle first:
| Position (°2θ) | I/Imax |
| --- | --- |
| 24.77 | 29 |
| 28.28 | 100 |
| 28.88 | 47 |
| 40.41 | 37 |
| 41.31 | 35 |
| 50.80 | 29 |


13.
Structure and computed powder XRD pattern of U2Sn3Pb3 (a cell relaxed with PBE; Cu Kα, 1.54184 Å).
Peak positions follow from Bragg's law for the DFT cell and can differ from measured ones.

Structure:
Lattice parameters (Å, degrees): 4.675 4.709 9.484 90.00 90.00 90.00
Positions (direct):
U (0.000, 0.000, 0.245)
U (0.000, 0.000, 0.755)
Sn (0.000, 0.500, 0.000)
Sn (0.500, 0.000, 0.000)
Sn (0.500, 0.000, 0.500)
Pb (0.000, 0.500, 0.500)
Pb (0.500, 0.500, 0.248)
Pb (0.500, 0.500, 0.752)

Top 6 peaks for 2θ from 10° to 80°, low angle first:
| Position (°2θ) | I/Imax |
| --- | --- |
| 32.95 | 100 |
| 37.95 | 17 |
| 38.22 | 17 |
| 38.52 | 17 |
| 65.40 | 14 |
| 65.77 | 14 |